Structure and calculated powder XRD pattern of Mn5O3F5 (a crystal structure in Alexandria, relaxed with PBE+U; CuKα).
Intensities are scaled so that the largest is 100.

Crystal structure
Unit cell a=6.376 b=6.376 c=11.084 alpha=106.10 beta=106.10 gamma=61.05
Element x y z (fractional)
Mn 0.000 0.000 0.000
Mn 0.000 0.000 0.500
Mn 0.008 0.469 0.493
Mn 0.243 0.757 0.755
Mn 0.408 0.892 0.304
Mn 0.469 0.008 0.993
Mn 0.505 0.517 0.007
Mn 0.517 0.505 0.507
Mn 0.757 0.243 0.255
Mn 0.892 0.408 0.804
O 0.097 0.122 0.376
O 0.122 0.097 0.876
O 0.365 0.841 0.105
O 0.578 0.631 0.886
O 0.631 0.578 0.386
O 0.841 0.365 0.605
F 0.100 0.627 0.872
F 0.175 0.612 0.405
F 0.354 0.856 0.621
F 0.371 0.415 0.613
F 0.415 0.371 0.113
F 0.612 0.175 0.905
F 0.627 0.100 0.372
F 0.825 0.924 0.110
F 0.856 0.354 0.121
F 0.924 0.825 0.610

Most intense lines, 15 to 90 degrees two-theta, in order of rising 2θ:
| 2θ (°) | d_spacing | I/Imax |
| --- | --- | --- |
| 16.89 | 5.250 | 100.0 |
| 17.05 | 5.200 | 70.1 |
| 32.52 | 2.753 | 68.4 |
| 32.97 | 2.717 | 45.4 |
| 39.51 | 2.281 | 79.4 |
| 57.41 | 1.605 | 53.9 |